Starting from the PBE geometry in Alexandria, the PXRD pattern of Ho4Tm2Sc3 was computed for Cu Kα, 1.54184 Å.
Kinematic intensities with the Lorentz-polarization factor, no thermal factor.

Most intense lines, 2θ from 15° to 90°, in order of falling intensity:
- 32.98°, d 2.716, I = 100, hkl 4 2 1
- 32.71°, d 2.738, I = 66, hkl 5 1 -1
- 31.06°, d 2.880, I = 55, hkl 1 1 -2
- 31.99°, d 2.798, I = 50, hkl 0 4 0
- 38.67°, d 2.328, I = 48, hkl 1 3 -2
- 29.66°, d 3.012, I = 30, hkl 3 3 0

Cell and atoms:
Cell lengths 15.369, 11.191, 5.997 Å; angles 90.00, 94.83, 90.00 degrees
Space group C2/c (No. 15)
One atom of each set of equivalent atoms:
Ho 0.048 0.142 0.010
Ho 0.215 0.358 0.843
Tm 0.118 0.359 0.324
Sc 0.000 0.402 0.750
Sc 0.167 0.099 0.582

Starting from the PBE geometry in Alexandria, the PXRD pattern of Ho5TmSc2 was computed for Cu Kα, 1.54184 Å.
Kinematic intensities with the Lorentz-polarization factor, no thermal factor.

Most intense lines, 2θ from 15° to 90°, in order of falling intensity:
- 33.60°, d 2.667, I = 100, hkl 2 2 2
- 29.25°, d 3.053, I = 27, hkl 0 0 4
- 32.68°, d 2.740, I = 24, hkl 0 4 0
- 62.67°, d 1.482, I = 22, hkl 4 4 0
- 51.86°, d 1.763, I = 21, hkl 4 0 0
- 58.92°, d 1.568, I = 20, hkl 2 6 2

Cell and atoms:
Cell lengths 7.055, 10.960, 12.207 Å; angles 90.00, 90.00, 90.00 degrees
Space group Fmm2 (No. 42)
One atom of each set of equivalent atoms:
Ho 0.000 0.000 0.000
Ho 0.250 0.000 0.246
Ho 0.250 0.250 0.415
Tm 0.000 0.000 0.500
Sc 0.000 0.250 0.164

Starting from the PBE geometry in Alexandria, the PXRD pattern of Ho8TmSc4 was computed for Cu Kα, 1.54184 Å.
Kinematic intensities with the Lorentz-polarization factor, no thermal factor.

Most intense lines, 2θ from 15° to 90°, in order of falling intensity:
- 32.49°, d 2.756, I = 100, hkl 0 2 4
- 30.43°, d 2.938, I = 44, hkl 2 0 2
- 39.79°, d 2.265, I = 36, hkl 2 0 8
- 52.73°, d 1.736, I = 30, hkl 2 2 0
- 19.32°, d 4.594, I = 20, hkl 0 0 6
- 35.84°, d 2.506, I = 19, hkl 1 0 10

Cell and atoms:
Cell lengths 6.9439, 6.9439, 27.5615 Å; angles 90.00, 90.00, 120.00 degrees
Space group R-3m (No. 166, hexagonal axes)
One atom of each set of equivalent atoms:
Ho 0.0000 0.0000 0.2120
Ho 0.0243 0.5121 0.7603
Tm 0.0000 0.0000 0.5000
Sc 0.0000 0.0000 0.0000
Sc 0.0000 0.5000 0.0000

Starting from the PBE geometry in Alexandria, the PXRD pattern of Ho4Tm4Sc was computed for Cu Kα, 1.54184 Å.
Kinematic intensities with the Lorentz-polarization factor, no thermal factor.

Most intense lines, 2θ from 15° to 90°, in order of falling intensity:
- 31.50°, d 2.840, I = 100, hkl 3 0 1
- 36.53°, d 2.460, I = 50, hkl 3 3 0
- 52.62°, d 1.739, I = 36, hkl 6 0 0
- 62.59°, d 1.484, I = 28, hkl 6 3 1
- 62.71°, d 1.482, I = 14, hkl 3 0 3
- 65.76°, d 1.420, I = 12, hkl 6 0 2

Cell and atoms:
Cell lengths 10.444, 10.444, 4.912 Å; angles 90.00, 90.00, 90.00 degrees
Space group I4/mmm (No. 139)
One atom of each set of equivalent atoms:
Ho 0.165 0.165 0.000
Tm 0.000 0.332 0.500
Sc 0.000 0.000 0.500

Starting from the PBE geometry in Alexandria, the PXRD pattern of HoTm5Sc4 was computed for Cu Kα, 1.54184 Å.
Kinematic intensities with the Lorentz-polarization factor, no thermal factor.

Most intense lines, 2θ from 15° to 90°, in order of falling intensity:
- 29.00°, d 3.079, I = 100, hkl 1 3 0
- 34.78°, d 2.580, I = 97, hkl 2 0 2
- 36.40°, d 2.468, I = 85, hkl 2 3 1
- 25.15°, d 3.541, I = 78, hkl 2 1 1
- 31.24°, d 2.863, I = 74, hkl 3 0 1
- 41.74°, d 2.164, I = 71, hkl 3 1 2

Cell and atoms:
Cell lengths 9.735, 9.735, 6.084 Å; angles 90.00, 90.00, 90.00 degrees
Space group I4 (No. 79)
One atom of each set of equivalent atoms:
Ho 0.000 0.000 0.000
Tm 0.000 0.000 0.542
Tm 0.146 0.243 0.272
Sc 0.055 0.357 0.771

Starting from the PBE geometry in Alexandria, the PXRD pattern of Ho12TmSc5 was computed for Cu Kα, 1.54184 Å.
Kinematic intensities with the Lorentz-polarization factor, no thermal factor.

Most intense lines, 2θ from 15° to 90°, in order of falling intensity:
- 31.07°, d 2.878, I = 100, hkl 2 0 1
- 37.98°, d 2.369, I = 51, hkl 2 0 -5
- 32.18°, d 2.781, I = 50, hkl 0 0 6
- 34.82°, d 2.577, I = 44, hkl 1 3 3
- 63.16°, d 1.472, I = 43, hkl 0 6 6
- 33.07°, d 2.709, I = 39, hkl 1 3 -3

Cell and atoms:
Cell lengths 6.009, 10.413, 16.807 Å; angles 90.00, 96.80, 90.00 degrees
Space group C2/m (No. 12)
One atom of each set of equivalent atoms:
Ho 0.109 0.000 0.334
Ho 0.112 0.332 0.334
Ho 0.220 0.167 0.162
Ho 0.220 0.500 0.162
Tm 0.000 0.500 0.500
Sc 0.000 0.000 0.000
Sc 0.000 0.167 0.500
Sc 0.000 0.333 0.000

Starting from the PBE geometry in Alexandria, the PXRD pattern of Ho6TmSc6 was computed for Cu Kα, 1.54184 Å.
Kinematic intensities with the Lorentz-polarization factor, no thermal factor.

Most intense lines, 2θ from 15° to 90°, in order of falling intensity:
- 27.97°, d 3.191, I = 100, hkl 1 1 0
- 32.60°, d 2.747, I = 71, hkl 1 1 2
- 29.61°, d 3.017, I = 40, hkl 1 0 3
- 58.91°, d 1.568, I = 33, hkl 1 1 6
- 36.53°, d 2.460, I = 29, hkl 2 0 2
- 57.80°, d 1.595, I = 23, hkl 2 2 0

Cell and atoms:
Cell lengths 6.3810, 6.3810, 10.8007 Å; angles 90.00, 90.00, 120.00 degrees
Space group P6/mmm (No. 191)
One atom of each set of equivalent atoms:
Ho 0.0000 0.0000 0.1618
Ho 0.3333 0.6667 0.0000
Ho 0.3333 0.6667 0.5000
Tm 0.0000 0.0000 0.5000
Sc 0.0000 0.5000 0.2587

Starting from the PBE geometry in Alexandria, the PXRD pattern of Ho6TmSc8 was computed for Cu Kα, 1.54184 Å.
Kinematic intensities with the Lorentz-polarization factor, no thermal factor.

Most intense lines, 2θ from 15° to 90°, in order of falling intensity:
- 33.27°, d 2.693, I = 100, hkl 1 2 2
- 32.30°, d 2.771, I = 58, hkl 3 -1 1
- 33.14°, d 2.703, I = 53, hkl 2 0 5
- 33.96°, d 2.640, I = 41, hkl 1 0 7
- 56.98°, d 1.616, I = 28, hkl 4 1 0
- 21.61°, d 4.112, I = 25, hkl 1 0 4

Cell and atoms:
Cell lengths 8.5512, 8.5512, 19.7793 Å; angles 90.00, 90.00, 120.00 degrees
Space group R-3 (No. 148, hexagonal axes)
One atom of each set of equivalent atoms:
Ho 0.0678 0.8172 0.2105
Tm 0.0000 0.0000 0.5000
Sc 0.0000 0.0000 0.0745
Sc 0.0803 0.5261 0.3096